[1]
For Ca2HfSi2Rh5, a structure optimized by DFT (PBE) gives the theoretical powder diffraction line list in this record (Cu Kα (λ = 1.5418 Å)).

Peak list (8 most intense, 2θ from 5° to 70°, in order of rising 2θ)
d (Å)	I_rel
7.078	20
5.005	28
2.441	33
2.428	33
2.308	100
2.238	37
2.143	27
1.686	16

Structure:
a b c (Å): 10.010 10.010 3.371
angles (deg): 90.00 90.00 90.00
Atoms (fractional coordinates):
Ca: 0.174 0.326 0.000
Ca: 0.326 0.826 0.000
Ca: 0.674 0.174 0.000
Ca: 0.826 0.674 0.000
Hf: 0.000 0.000 0.000
Hf: 0.500 0.500 0.000
Si: 0.124 0.624 0.000
Si: 0.376 0.124 0.000
Si: 0.624 0.876 0.000
Si: 0.876 0.376 0.000
Rh: 0.000 0.500 0.500
Rh: 0.069 0.787 0.500
Rh: 0.213 0.069 0.500
Rh: 0.287 0.569 0.500
Rh: 0.431 0.287 0.500
Rh: 0.500 0.000 0.500
Rh: 0.569 0.713 0.500
Rh: 0.713 0.431 0.500
Rh: 0.787 0.931 0.500
Rh: 0.931 0.213 0.500

=====

[2]
For CaHf2Sb2, a structure optimized by DFT (PBE) gives the theoretical powder diffraction line list in this record (Cu Kα (λ = 1.5418 Å)).

Peak list (8 most intense, 2θ from 5° to 70°, in order of rising 2θ)
d (Å)	I_rel
6.924	72
4.156	29
2.815	100
2.337	23
2.301	83
2.178	50
1.584	18
1.351	21

Structure:
a b c (Å): 7.578 7.578 7.578
angles (deg): 146.59 146.59 47.97
Atoms (fractional coordinates):
Ca: 0.000 0.000 0.000
Hf: 0.250 0.750 0.500
Hf: 0.750 0.250 0.500
Sb: 0.391 0.391 0.000
Sb: 0.609 0.609 0.000

=====

[3]
For Ca2SmHfSb4, a structure optimized by DFT (PBE) gives the theoretical powder diffraction line list in this record (Cu Kα (λ = 1.5418 Å)).

Peak list (8 most intense, 2θ from 5° to 70°, in order of rising 2θ)
d (Å)	I_rel
7.408	27
3.114	100
2.242	12
2.230	25
2.175	24
2.164	12
1.777	16
1.557	12

Structure:
a b c (Å): 7.546 4.327 7.811
angles (deg): 90.00 108.50 90.00
Atoms (fractional coordinates):
Ca: 0.000 0.000 0.000
Ca: 0.500 0.500 0.000
Sm: 0.000 0.500 0.500
Hf: 0.500 0.000 0.500
Sb: 0.262 0.000 0.737
Sb: 0.273 0.500 0.273
Sb: 0.727 0.500 0.727
Sb: 0.738 0.000 0.263

=====

[4]
For SrCaHf, a structure optimized by DFT (PBE) gives the theoretical powder diffraction line list in this record (Cu Kα (λ = 1.5418 Å)).

Peak list (8 most intense, 2θ from 5° to 70°, in order of rising 2θ)
d (Å)	I_rel
9.685	100
6.222	36
5.805	50
3.157	38
2.837	74
2.831	41
2.710	42
1.780	23

Structure:
a b c (Å): 3.506 6.358 9.895
angles (deg): 78.15 89.97 89.90
Atoms (fractional coordinates):
Sr: 0.000 0.000 0.000
Sr: 0.002 0.572 0.754
Ca: 0.502 0.125 0.599
Ca: 0.505 0.689 0.364
Hf: 0.003 0.227 0.298
Hf: 0.501 0.463 0.082

=====

[5]
For CaHfTe2, a structure optimized by DFT (PBE) gives the theoretical powder diffraction line list in this record (Cu Kα (λ = 1.5418 Å)).

Peak list (8 most intense, 2θ from 5° to 70°, in order of rising 2θ)
d (Å)	I_rel
9.881	100
3.373	35
2.991	48
2.530	30
2.252	30
2.000	23
1.960	12
1.905	10

Structure:
a b c (Å): 10.147 10.147 10.147
angles (deg): 22.73 22.73 22.73
Atoms (fractional coordinates):
Ca: 0.000 0.000 0.000
Hf: 0.500 0.500 0.500
Te: 0.107 0.107 0.107
Te: 0.893 0.893 0.893

=====

[6]
For Ca5Hg2, a structure optimized by DFT (PBE) gives the theoretical powder diffraction line list in this record (Cu Kα (λ = 1.5418 Å)).

Peak list (8 most intense, 2θ from 5° to 70°, in order of rising 2θ)
d (Å)	I_rel
4.912	100
4.320	34
4.064	59
3.813	26
2.953	25
2.779	29
2.719	25
2.499	46

Structure:
a b c (Å): 9.393 9.393 8.036
angles (deg): 97.04 97.04 43.75
Atoms (fractional coordinates):
Ca: 0.087 0.913 0.750
Ca: 0.134 0.307 0.311
Ca: 0.294 0.525 0.075
Ca: 0.307 0.134 0.811
Ca: 0.475 0.706 0.425
Ca: 0.525 0.294 0.575
Ca: 0.693 0.866 0.189
Ca: 0.706 0.475 0.925
Ca: 0.866 0.693 0.689
Ca: 0.913 0.087 0.250
Hg: 0.091 0.689 0.421
Hg: 0.311 0.909 0.079
Hg: 0.689 0.091 0.921
Hg: 0.909 0.311 0.579

=====

[7]
For Ca2Hg7, a structure optimized by DFT (PBE) gives the theoretical powder diffraction line list in this record (Cu Kα (λ = 1.5418 Å)).

Peak list (8 most intense, 2θ from 5° to 70°, in order of rising 2θ)
d (Å)	I_rel
4.846	6
4.090	22
2.627	98
2.605	100
1.849	35
1.521	19
1.508	36
1.504	19

Structure:
a b c (Å): 5.209 5.209 9.691
angles (deg): 90.00 90.00 120.00
Atoms (fractional coordinates):
Ca: 0.333 0.667 0.270
Ca: 0.667 0.333 0.730
Hg: 0.000 0.000 0.160
Hg: 0.000 0.000 0.500
Hg: 0.000 0.000 0.840
Hg: 0.333 0.667 0.601
Hg: 0.333 0.667 0.928
Hg: 0.667 0.333 0.072
Hg: 0.667 0.333 0.399

=====

[8]
For Ca2Hg3, a structure optimized by DFT (PBE) gives the theoretical powder diffraction line list in this record (Cu Kα (λ = 1.5418 Å)).

Peak list (8 most intense, 2θ from 5° to 70°, in order of rising 2θ)
d (Å)	I_rel
4.208	78
3.296	38
2.913	99
2.487	100
1.985	58
1.891	29
1.505	27
1.374	26

Structure:
a b c (Å): 7.190 7.190 7.190
angles (deg): 40.46 40.46 40.46
Atoms (fractional coordinates):
Ca: 0.091 0.091 0.091
Ca: 0.909 0.909 0.909
Hg: 0.327 0.327 0.327
Hg: 0.500 0.500 0.500
Hg: 0.673 0.673 0.673

=====

[9]
For CaHg, a structure optimized by DFT (PBE) gives the theoretical powder diffraction line list in this record (Cu Kα (λ = 1.5418 Å)).

Peak list (8 most intense, 2θ from 5° to 70°, in order of rising 2θ)
d (Å)	I_rel
6.485	26
3.587	97
3.044	100
2.590	79
2.219	32
2.153	38
1.846	33
1.656	41

Structure:
a b c (Å): 4.305 4.305 6.485
angles (deg): 90.00 90.00 90.00
Atoms (fractional coordinates):
Ca: 0.250 0.250 0.191
Ca: 0.750 0.750 0.809
Hg: 0.250 0.250 0.676
Hg: 0.750 0.750 0.324

=====

[10]
For Ca2Hg, a structure optimized by DFT (PBE) gives the theoretical powder diffraction line list in this record (Cu Kα (λ = 1.5418 Å)).

Peak list (8 most intense, 2θ from 5° to 70°, in order of rising 2θ)
d (Å)	I_rel
5.284	100
3.510	25
3.485	49
2.642	28
2.568	36
2.539	54
2.334	18
2.132	22

Structure:
a b c (Å): 7.357 7.593 3.958
angles (deg): 90.00 90.00 90.00
Atoms (fractional coordinates):
Ca: 0.219 0.158 0.000
Ca: 0.281 0.658 0.500
Ca: 0.719 0.342 0.500
Ca: 0.781 0.842 0.000
Hg: 0.000 0.500 0.000
Hg: 0.500 0.000 0.500

=====

[11]
For Ca5Hg2, a structure optimized by DFT (PBE) gives the theoretical powder diffraction line list in this record (Cu Kα (λ = 1.5418 Å)).

Peak list (8 most intense, 2θ from 5° to 70°, in order of rising 2θ)
d (Å)	I_rel
4.417	100
4.053	19
2.840	41
2.654	38
2.634	36
2.404	29
2.374	33
2.165	17

Structure:
a b c (Å): 9.690 9.690 9.690
angles (deg): 131.49 66.44 137.50
Atoms (fractional coordinates):
Ca: 0.022 0.250 0.772
Ca: 0.084 0.646 0.729
Ca: 0.250 0.250 0.000
Ca: 0.416 0.146 0.562
Ca: 0.478 0.250 0.228
Ca: 0.522 0.750 0.772
Ca: 0.584 0.854 0.438
Ca: 0.750 0.750 0.000
Ca: 0.916 0.354 0.271
Ca: 0.978 0.750 0.228
Hg: 0.121 0.258 0.379
Hg: 0.379 0.758 0.137
Hg: 0.621 0.242 0.863
Hg: 0.879 0.742 0.621

=====

[12]
For CaHo3Hg4, a structure optimized by DFT (PBE) gives the theoretical powder diffraction line list in this record (Cu Kα (λ = 1.5418 Å)).

Peak list (8 most intense, 2θ from 5° to 70°, in order of rising 2θ)
d (Å)	I_rel
7.469	3
3.709	5
2.632	100
2.623	50
1.867	9
1.855	18
1.521	19
1.516	38

Structure:
a b c (Å): 5.246 5.246 7.469
angles (deg): 90.00 90.00 90.00
Atoms (fractional coordinates):
Ca: 0.000 0.000 0.000
Ho: 0.000 0.000 0.500
Ho: 0.500 0.500 0.000
Ho: 0.500 0.500 0.500
Hg: 0.000 0.500 0.255
Hg: 0.000 0.500 0.745
Hg: 0.500 0.000 0.255
Hg: 0.500 0.000 0.745

=====

[13]
For Ca2HoHg9, a structure optimized by DFT (PBE) gives the theoretical powder diffraction line list in this record (Cu Kα (λ = 1.5418 Å)).

Peak list (8 most intense, 2θ from 5° to 70°, in order of rising 2θ)
d (Å)	I_rel
4.641	5
2.688	100
2.343	17
2.320	33
1.648	23
1.641	12
1.410	14
1.400	28

Structure:
a b c (Å): 4.641 4.641 14.055
angles (deg): 90.00 90.00 90.00
Atoms (fractional coordinates):
Ca: 0.000 0.000 0.166
Ca: 0.000 0.000 0.834
Ho: 0.000 0.000 0.500
Hg: 0.000 0.500 0.000
Hg: 0.000 0.500 0.338
Hg: 0.000 0.500 0.662
Hg: 0.500 0.000 0.000
Hg: 0.500 0.000 0.338
Hg: 0.500 0.000 0.662
Hg: 0.500 0.500 0.167
Hg: 0.500 0.500 0.500
Hg: 0.500 0.500 0.833

=====

[14]
For Ca2HoHg5, a structure optimized by DFT (PBE) gives the theoretical powder diffraction line list in this record (Cu Kα (λ = 1.5418 Å)).

Peak list (8 most intense, 2θ from 5° to 70°, in order of rising 2θ)
d (Å)	I_rel
7.288	17
3.733	10
2.640	52
2.608	100
1.866	19
1.822	9
1.518	39
1.499	18

Structure:
a b c (Å): 8.188 8.188 8.188
angles (deg): 142.39 142.39 54.24
Atoms (fractional coordinates):
Ca: 0.240 0.240 0.000
Ca: 0.760 0.760 0.000
Ho: 0.500 0.500 0.000
Hg: 0.000 0.000 0.000
Hg: 0.122 0.622 0.500
Hg: 0.378 0.878 0.500
Hg: 0.622 0.122 0.500
Hg: 0.878 0.378 0.500